Starting from DFT lattice parameters and positions (GGA-PBE), the X-ray diffraction stick pattern of Li2Cu5F12 was computed for Cu Kα (weighted mean of Kα1 and Kα2).
Neutral-atom scattering factors, no anomalous dispersion.

Main lines, sorted by position (10° ≤ 2θ ≤ 80°):
2theta, d [Å], intensity
10.03, 8.823, 15.8
24.60, 3.619, 100.0
24.90, 3.576, 95.6
35.20, 2.550, 30.6
35.30, 2.542, 33.9
39.49, 2.282, 24.9
39.67, 2.272, 14.7
50.45, 1.809, 43.2
50.73, 1.800, 60.9
51.04, 1.789, 42.4
62.99, 1.476, 23.9
63.63, 1.462, 23.4

Crystal structure
Unit cell a=7.152 b=8.823 c=10.114 alpha=90.00 beta=134.31 gamma=90.00
Element x y z (fractional)
Li 0.000 0.000 0.000
Li 0.000 0.000 0.500
Li 0.000 0.080 0.250
Li 0.000 0.920 0.750
Cu 0.001 0.329 0.500
Cu 0.001 0.671 0.000
Cu 0.473 0.169 0.992
Cu 0.473 0.831 0.492
Cu 0.500 0.500 0.000
Cu 0.500 0.500 0.500
Cu 0.527 0.169 0.508
Cu 0.527 0.831 0.008
Cu 0.999 0.329 0.000
Cu 0.999 0.671 0.500
F 0.165 0.167 0.479
F 0.165 0.833 0.979
F 0.167 0.167 0.989
F 0.167 0.833 0.489
F 0.175 0.500 0.497
F 0.175 0.500 0.997
F 0.307 0.003 0.319
F 0.307 0.997 0.819
F 0.317 0.337 0.816
F 0.317 0.663 0.316
F 0.329 0.331 0.324
F 0.329 0.669 0.824
F 0.671 0.331 0.176
F 0.671 0.669 0.676
F 0.683 0.337 0.684
F 0.683 0.663 0.184
F 0.693 0.003 0.181
F 0.693 0.997 0.681
F 0.825 0.500 0.003
F 0.825 0.500 0.503
F 0.833 0.167 0.511
F 0.833 0.833 0.011
F 0.835 0.167 0.021
F 0.835 0.833 0.521